This entry pairs a crystal structure of BeS with its simulated X-ray powder pattern. Radiation: Cu Kα. Structure: a cell relaxed with GGA-PBE.
Lines closer than 0.1° are merged.

a = 4.8745 Å, b = 4.8745 Å, c = 4.8745 Å
α = 90.00°, β = 90.00°, γ = 90.00°
Space group F-43m (No. 216)
One atom of each set of equivalent atoms:
Be  0.0000  0.0000  0.0000 (multiplicity 4)
S  0.2500  0.2500  0.7500 (multiplicity 4)

Peak list (6 most intense, 10 to 90 degrees two-theta, in order of falling intensity)
2theta	I/Imax
31.80	100
53.14	40
63.27	34
36.88	30
87.16	15
78.49	6



This entry pairs a crystal structure of Be13Sb with its simulated X-ray powder pattern. Radiation: Cu Kα. Structure: a cell relaxed with GGA-PBE.
Lines closer than 0.1° are merged.

a = 10.2760 Å, b = 10.2760 Å, c = 10.2760 Å
α = 90.00°, β = 90.00°, γ = 90.00°
Space group Fm-3c (No. 226)
One atom of each set of equivalent atoms:
Be  0.0000  0.0000  0.0000 (multiplicity 8)
Be  0.0000  0.1098  0.1770 (multiplicity 96)
Sb  0.2500  0.2500  0.2500 (multiplicity 8)

Peak list (6 most intense, 10 to 90 degrees two-theta, in order of falling intensity)
2theta	I/Imax
24.50	100
17.26	81
39.21	74
43.13	64
30.13	47
68.31	29



This entry pairs a crystal structure of YScBe with its simulated X-ray powder pattern. Radiation: Cu Kα. Structure: a cell relaxed with GGA-PBE.
Lines closer than 0.1° are merged.

a = 6.5059 Å, b = 6.5059 Å, c = 6.5059 Å
α = 90.00°, β = 90.00°, γ = 90.00°
Space group F-43m (No. 216)
One atom of each set of equivalent atoms:
Y  0.0000  0.0000  0.0000 (multiplicity 4)
Sc  0.2500  0.2500  0.7500 (multiplicity 4)
Be  0.0000  0.0000  0.5000 (multiplicity 4)

Peak list (6 most intense, 10 to 90 degrees two-theta, in order of falling intensity)
2theta	I/Imax
23.69	100
39.16	85
46.28	48
70.97	27
62.20	19
27.42	15



This entry pairs a crystal structure of Be2Si with its simulated X-ray powder pattern. Radiation: Cu Kα. Structure: a cell relaxed with GGA-PBE.
Lines closer than 0.1° are merged.

a = 5.2800 Å, b = 5.2800 Å, c = 5.2800 Å
α = 90.00°, β = 90.00°, γ = 90.00°
Space group Fm-3m (No. 225)
One atom of each set of equivalent atoms:
Be  0.2500  0.2500  0.2500 (multiplicity 8)
Si  0.0000  0.0000  0.0000 (multiplicity 4)

Peak list (6 most intense, 10 to 90 degrees two-theta, in order of falling intensity)
2theta	I/Imax
29.30	100
48.78	66
57.93	39
79.05	16
33.96	16
71.47	11



This entry pairs a crystal structure of SrBe13 with its simulated X-ray powder pattern. Radiation: Cu Kα. Structure: a cell relaxed with GGA-PBE.
Lines closer than 0.1° are merged.

a = 10.3919 Å, b = 10.3919 Å, c = 10.3919 Å
α = 90.00°, β = 90.00°, γ = 90.00°
Space group Fm-3c (No. 226)
One atom of each set of equivalent atoms:
Sr  0.2500  0.2500  0.2500 (multiplicity 8)
Be  0.0000  0.0000  0.0000 (multiplicity 8)
Be  0.0000  0.1104  0.1757 (multiplicity 96)

Peak list (6 most intense, 10 to 90 degrees two-theta, in order of falling intensity)
2theta	I/Imax
24.22	100
38.75	82
42.62	72
17.06	67
29.78	49
67.44	32



This entry pairs a crystal structure of TaBe3 with its simulated X-ray powder pattern. Radiation: Cu Kα. Structure: a cell relaxed with GGA-PBE.
Lines closer than 0.1° are merged.

a = 4.5649 Å, b = 4.5649 Å, c = 20.9435 Å
α = 90.00°, β = 90.00°, γ = 120.00°
Space group R-3m (No. 166, hexagonal axes)
One atom of each set of equivalent atoms:
Ta  0.0000  0.0000  0.0000 (multiplicity 3)
Ta  0.0000  0.0000  0.1399 (multiplicity 6)
Be  0.0000  0.0000  0.3346 (multiplicity 6)
Be  0.0000  0.0000  0.5000 (multiplicity 3)
Be  0.0061  0.5030  0.9187 (multiplicity 18)

Peak list (6 most intense, 10 to 90 degrees two-theta, in order of falling intensity)
2theta	I/Imax
22.89	100
37.71	54
39.48	50
47.60	32
41.37	30
25.52	22



This entry pairs a crystal structure of TaBe12 with its simulated X-ray powder pattern. Radiation: Cu Kα. Structure: a cell relaxed with GGA-PBE.
Lines closer than 0.1° are merged.

a = 7.2986 Å, b = 7.2986 Å, c = 4.2140 Å
α = 90.00°, β = 90.00°, γ = 90.00°
Space group I4/mmm (No. 139)
One atom of each set of equivalent atoms:
Ta  0.0000  0.0000  0.0000 (multiplicity 2)
Be  0.0000  0.2157  0.5000 (multiplicity 8)
Be  0.0000  0.3527  0.0000 (multiplicity 8)
Be  0.2500  0.2500  0.2500 (multiplicity 8)

Peak list (6 most intense, 10 to 90 degrees two-theta, in order of falling intensity)
2theta	I/Imax
24.39	100
17.18	77
34.77	76
49.98	54
42.93	27
73.38	25



This entry pairs a crystal structure of Ta3Be2 with its simulated X-ray powder pattern. Radiation: Cu Kα. Structure: a cell relaxed with GGA-PBE.
Lines closer than 0.1° are merged.

a = 6.5053 Å, b = 6.5053 Å, c = 3.3653 Å
α = 90.00°, β = 90.00°, γ = 90.00°
Space group P4/mbm (No. 127)
One atom of each set of equivalent atoms:
Ta  0.0000  0.0000  0.0000 (multiplicity 2)
Ta  0.1791  0.3209  0.5000 (multiplicity 4)
Be  0.1142  0.6142  0.0000 (multiplicity 4)

Peak list (6 most intense, 10 to 90 degrees two-theta, in order of falling intensity)
2theta	I/Imax
38.49	100
41.01	68
30.73	65
32.98	52
44.02	47
67.08	32